Entry 1:
Diffraction record for CeInBr. The PXRD pattern is calculated, not measured: it uses the PBE geometry in Alexandria and a wavelength of 1.5418 Å.

Cell and atoms:
```
CeInBr
1.0
7.952 0.000 0.000
0.000 4.595 0.000
-0.426 0.000 11.308
Ce In Br
4 4 4
Cartesian
0.000 0.000 2.271
3.549 2.297 9.037
3.976 2.297 2.271
7.525 0.000 9.037
0.899 2.297 10.836
2.650 0.000 0.472
4.875 0.000 10.836
6.626 2.297 0.472
1.323 2.297 3.889
2.226 0.000 7.419
5.299 0.000 3.889
6.202 2.297 7.419
```

Most intense lines, 2θ from 10° to 90°, low angle first:
2θ (°)	I_rel
26.9	38
27.7	100
32.1	34
32.4	16
33.0	45
39.2	84
39.8	22
45.8	29
47.0	14
48.2	17
51.6	17
62.8	13

***

Entry 2:
Diffraction record for PaGa3Ir. The PXRD pattern is calculated, not measured: it uses the PBE geometry in Alexandria and a wavelength of 1.5418 Å.

Cell and atoms:
```
PaGa3Ir
1.0
5.655 0.000 0.000
0.000 5.881 0.000
0.000 0.000 5.855
Pa Ga Ir
2 6 2
Cartesian
0.000 1.456 0.000
2.828 4.425 2.928
0.000 3.613 2.098
1.410 1.446 2.854
1.418 4.436 5.781
2.828 2.269 5.026
4.238 4.436 5.781
4.245 1.446 2.854
0.000 5.436 3.907
2.828 0.445 0.980
```

Most intense lines, 2θ from 10° to 90°, low angle first:
2θ (°)	I_rel
21.4	28
21.8	28
26.6	50
31.6	25
34.2	28
37.8	89
38.5	100
43.6	35
47.3	23
49.2	29
49.4	29
76.7	25

***

Entry 3:
Diffraction record for Pm4RhBr5. The PXRD pattern is calculated, not measured: it uses the PBE geometry in Alexandria and a wavelength of 1.5418 Å.

Cell and atoms:
```
Pm4RhBr5
1.0
9.545 -2.022 0.000
9.545 2.022 0.000
-2.078 0.000 8.508
Pm Rh Br
4 1 5
Cartesian
-0.446 0.000 1.844
17.457 0.000 6.664
4.750 0.000 7.760
12.261 0.000 0.748
9.545 0.000 0.000
2.476 0.000 2.922
1.583 0.000 7.176
8.506 0.000 4.254
15.428 0.000 1.332
14.535 0.000 5.585
```

Most intense lines, 2θ from 10° to 90°, low angle first:
2θ (°)	I_rel
10.4	57
28.9	53
30.1	100
31.5	9
41.2	18
42.1	35
42.3	38
44.8	17
51.3	9
54.2	18
62.5	10
68.3	12